Diffraction record for DySi2Pt. The XRD peak list is computed, not measured: it uses a structure optimized by DFT (PBE) and Cu Kα X-rays.
Neutral-atom scattering factors, no anomalous dispersion.

The 10 most intense peaks (2θ from 10° to 80°), sorted by position:
2θ/deg  I (rel.)  h k l
22.87  40  0 1 1
23.08  42  0 0 2
28.50  40  1 1 0
30.53  42  0 1 2
30.82  100  1 1 1
30.98  73  1 0 2
36.99  50  1 1 2
40.42  35  0 1 3
41.45  42  2 0 0
45.32  43  1 2 0

Crystal structure
Cell: 4.357 4.505 7.707 Å, 90.00 90.00 90.00°
Fractional coordinates of all 8 atoms:
Dy  0.000  0.054  0.000
Dy  0.000  0.946  0.500
Si  0.000  0.497  0.256
Si  0.000  0.503  0.756
Si  0.500  0.206  0.284
Si  0.500  0.794  0.784
Pt  0.500  0.299  0.636
Pt  0.500  0.701  0.136

=====

Diffraction record for SmDySn2Pt4. The XRD peak list is computed, not measured: it uses a structure optimized by DFT (PBE) and Cu Kα X-rays.
Neutral-atom scattering factors, no anomalous dispersion.

The 10 most intense peaks (2θ from 10° to 80°), sorted by position:
2θ/deg  I (rel.)  h k l
22.39  18  1 0 0
29.79  11  1 0 2
37.16  100  1 0 3
39.30  87  1 1 0
45.75  10  1 0 4
55.19  33  2 0 3
65.56  13  1 0 6
69.84  32  2 1 3
71.24  16  3 0 0
74.75  10  1 1 6

Crystal structure
Cell: 4.585 4.585 9.152 Å, 90.00 90.00 120.00°
Fractional coordinates of all 8 atoms:
Sm  0.000  0.000  0.000
Dy  0.667  0.333  0.500
Sn  0.333  0.667  0.253
Sn  0.333  0.667  0.747
Pt  0.000  0.000  0.341
Pt  0.000  0.000  0.659
Pt  0.667  0.333  0.164
Pt  0.667  0.333  0.836

=====

Diffraction record for Dy2TlSnPt4. The XRD peak list is computed, not measured: it uses a structure optimized by DFT (PBE) and Cu Kα X-rays.
Neutral-atom scattering factors, no anomalous dispersion.

The 10 most intense peaks (2θ from 10° to 80°), sorted by position:
2θ/deg  I (rel.)  h k l
22.31  11  1 0 0
29.89  23  0 1 2
37.41  100  0 1 3
39.15  100  1 1 0
46.17  12  1 0 4
55.26  33  2 0 3
66.32  16  1 0 6
69.80  33  1 2 3
70.94  18  3 0 0
79.79  9  0 2 6

Crystal structure
Cell: 4.602 4.602 9.041 Å, 90.00 90.00 120.00°
Fractional coordinates of all 8 atoms:
Dy  0.333  0.667  0.250
Dy  0.667  0.333  0.750
Tl  0.000  0.000  0.500
Sn  0.000  0.000  0.000
Pt  0.333  0.667  0.597
Pt  0.333  0.667  0.912
Pt  0.667  0.333  0.088
Pt  0.667  0.333  0.403

=====

Diffraction record for TbDyPt2. The XRD peak list is computed, not measured: it uses a structure optimized by DFT (PBE) and Cu Kα X-rays.
Neutral-atom scattering factors, no anomalous dispersion.

The 10 most intense peaks (2θ from 10° to 80°), sorted by position:
2θ/deg  I (rel.)  h k l
20.31  17  0 1 1
32.25  72  1 2 0
34.59  45  0 1 2
36.14  100  1 2 1
39.96  51  2 0 0
40.11  91  1 1 2
41.75  21  0 3 1
53.87  26  2 1 2
54.67  23  0 4 1
69.83  23  2 4 1

Crystal structure
Cell: 4.512 7.043 5.578 Å, 90.00 90.00 90.00°
Fractional coordinates of all 8 atoms:
Tb  0.000  0.068  0.000
Tb  0.500  0.932  0.500
Dy  0.000  0.568  0.780
Dy  0.500  0.432  0.280
Pt  0.000  0.207  0.485
Pt  0.000  0.704  0.295
Pt  0.500  0.296  0.795
Pt  0.500  0.793  0.985